The following is a calculated powder XRD pattern of LiCa4Hg2. It was derived from the GGA-PBE geometry in Alexandria, using Cu Kα (weighted mean of Kα1 and Kα2).
Kinematic intensities with the Lorentz-polarization factor, no thermal factor.

Cell and atoms:
a = 9.0663 Å, b = 9.0663 Å, c = 9.0663 Å
α = 34.64°, β = 34.64°, γ = 34.64°
Element x y z (fractional)
Li 0.0000 0.0000 0.0000
Ca 0.1280 0.1280 0.1280
Ca 0.3802 0.3802 0.3802
Ca 0.6198 0.6198 0.6198
Ca 0.8720 0.8720 0.8720
Hg 0.2546 0.2546 0.2546
Hg 0.7454 0.7454 0.7454

Principal peaks in the range 2θ = 5–70°, by intensity:
- 2θ = 20.23°, intensity 100.0
- 2θ = 33.19°, intensity 64.7
- 2θ = 34.00°, intensity 57.7
- 2θ = 39.53°, intensity 38.5
- 2θ = 20.87°, intensity 31.7
- 2θ = 23.59°, intensity 23.5
- 2θ = 59.82°, intensity 22.1
- 2θ = 48.25°, intensity 21.2
- 2θ = 39.18°, intensity 19.4
- 2θ = 52.27°, intensity 17.1

***

The following is a calculated powder XRD pattern of Li2CaHg3. It was derived from the GGA-PBE geometry in Alexandria, using Cu Kα (weighted mean of Kα1 and Kα2).
Kinematic intensities with the Lorentz-polarization factor, no thermal factor.

Cell and atoms:
a = 3.5150 Å, b = 3.5150 Å, c = 10.4590 Å
α = 90.00°, β = 90.00°, γ = 90.00°
Element x y z (fractional)
Li 0.0000 0.0000 0.1524
Li 0.0000 0.0000 0.8476
Ca 0.0000 0.0000 0.5000
Hg 0.5000 0.5000 0.0000
Hg 0.5000 0.5000 0.2992
Hg 0.5000 0.5000 0.7008

Principal peaks in the range 2θ = 5–70°, by intensity:
- 2θ = 25.34°, intensity 100.0
- 2θ = 36.29°, intensity 88.4
- 2θ = 36.14°, intensity 58.2
- 2θ = 25.55°, intensity 35.7
- 2θ = 44.78°, intensity 33.5
- 2θ = 65.09°, intensity 32.6
- 2θ = 58.74°, intensity 20.8
- 2θ = 52.03°, intensity 20.7
- 2θ = 58.84°, intensity 15.2
- 2θ = 43.12°, intensity 15.1

***

The following is a calculated powder XRD pattern of LiCa2PrHg4. It was derived from the GGA-PBE geometry in Alexandria, using Cu Kα (weighted mean of Kα1 and Kα2).
Kinematic intensities with the Lorentz-polarization factor, no thermal factor.

Cell and atoms:
a = 9.2967 Å, b = 9.2967 Å, c = 9.2967 Å
α = 32.84°, β = 32.84°, γ = 32.84°
Element x y z (fractional)
Li 0.0000 0.0000 0.0000
Ca 0.2553 0.2553 0.2553
Ca 0.7447 0.7447 0.7447
Pr 0.5000 0.5000 0.5000
Hg 0.1212 0.1212 0.1212
Hg 0.3744 0.3744 0.3744
Hg 0.6256 0.6256 0.6256
Hg 0.8788 0.8788 0.8788

Principal peaks in the range 2θ = 5–70°, by intensity:
- 2θ = 33.57°, intensity 100.0
- 2θ = 34.12°, intensity 97.8
- 2θ = 23.76°, intensity 71.5
- 2θ = 60.73°, intensity 36.6
- 2θ = 48.62°, intensity 35.6
- 2θ = 61.07°, intensity 18.4
- 2θ = 59.68°, intensity 18.2
- 2θ = 42.00°, intensity 17.2
- 2θ = 54.44°, intensity 15.9
- 2θ = 55.18°, intensity 15.8

***

The following is a calculated powder XRD pattern of LiCa2SmHg4. It was derived from the GGA-PBE geometry in Alexandria, using Cu Kα (weighted mean of Kα1 and Kα2).
Kinematic intensities with the Lorentz-polarization factor, no thermal factor.

Cell and atoms:
a = 9.2052 Å, b = 9.2052 Å, c = 9.2052 Å
α = 33.02°, β = 33.02°, γ = 33.02°
Element x y z (fractional)
Li 0.0000 0.0000 0.0000
Ca 0.2545 0.2545 0.2545
Ca 0.7455 0.7455 0.7455
Sm 0.5000 0.5000 0.5000
Hg 0.1238 0.1238 0.1238
Hg 0.3748 0.3748 0.3748
Hg 0.6252 0.6252 0.6252
Hg 0.8762 0.8762 0.8762

Principal peaks in the range 2θ = 5–70°, by intensity:
- 2θ = 33.87°, intensity 100.0
- 2θ = 34.27°, intensity 97.4
- 2θ = 23.91°, intensity 68.4
- 2θ = 61.12°, intensity 36.8
- 2θ = 48.95°, intensity 35.7
- 2θ = 60.33°, intensity 18.8
- 2θ = 61.38°, intensity 18.3
- 2θ = 42.22°, intensity 16.4
- 2θ = 54.91°, intensity 15.7
- 2θ = 55.47°, intensity 15.1

***

The following is a calculated powder XRD pattern of LiCaSn2Hg4. It was derived from the GGA-PBE geometry in Alexandria, using Cu Kα (weighted mean of Kα1 and Kα2).
Kinematic intensities with the Lorentz-polarization factor, no thermal factor.

Cell and atoms:
a = 8.1156 Å, b = 6.9175 Å, c = 6.2541 Å
α = 75.88°, β = 55.75°, γ = 48.36°
Element x y z (fractional)
Li 0.0000 0.0000 0.0000
Ca 0.7500 0.7500 0.7500
Sn 0.2500 0.2500 0.2500
Sn 0.5000 0.5000 0.5000
Hg 0.0074 0.0074 0.4926
Hg 0.2458 0.2458 0.7542
Hg 0.4926 0.4926 0.0074
Hg 0.7542 0.7542 0.2458

Principal peaks in the range 2θ = 5–70°, by intensity:
- 2θ = 32.25°, intensity 100.0
- 2θ = 44.09°, intensity 84.2
- 2θ = 29.25°, intensity 63.1
- 2θ = 22.10°, intensity 53.8
- 2θ = 33.54°, intensity 45.2
- 2θ = 45.08°, intensity 39.5
- 2θ = 67.33°, intensity 24.4
- 2θ = 31.19°, intensity 23.6
- 2θ = 59.15°, intensity 19.2
- 2θ = 46.45°, intensity 16.2

***

The following is a calculated powder XRD pattern of CaMg4Hg5. It was derived from the GGA-PBE geometry in Alexandria, using Cu Kα (weighted mean of Kα1 and Kα2).
Kinematic intensities with the Lorentz-polarization factor, no thermal factor.

Cell and atoms:
a = 3.5718 Å, b = 3.5718 Å, c = 17.6130 Å
α = 90.00°, β = 90.00°, γ = 90.00°
Element x y z (fractional)
Ca 0.0000 0.0000 0.0000
Mg 0.0000 0.0000 0.2118
Mg 0.0000 0.0000 0.4030
Mg 0.0000 0.0000 0.5970
Mg 0.0000 0.0000 0.7882
Hg 0.5000 0.5000 0.1147
Hg 0.5000 0.5000 0.3076
Hg 0.5000 0.5000 0.5000
Hg 0.5000 0.5000 0.6924
Hg 0.5000 0.5000 0.8853

Principal peaks in the range 2θ = 5–70°, by intensity:
- 2θ = 35.80°, intensity 100.0
- 2θ = 24.93°, intensity 76.1
- 2θ = 35.54°, intensity 56.5
- 2θ = 64.00°, intensity 37.7
- 2θ = 25.28°, intensity 32.6
- 2θ = 44.12°, intensity 32.2
- 2θ = 51.15°, intensity 20.2
- 2θ = 57.71°, intensity 16.2
- 2θ = 57.89°, intensity 14.4
- 2θ = 64.50°, intensity 13.2

***

What is the formula in the first record? LiCa4Hg2